GaHg: theoretical XRD peak list (Cu Kα (λ = 1.5418 Å)), based on DFT lattice parameters and positions (GGA-PBE).
Lines closer than 0.1° are merged.

a = 4.1401 Å, b = 4.2345 Å, c = 5.5671 Å
α = 90.00°, β = 108.65°, γ = 90.00°
Atoms (fractional coordinates):
Ga  0.0368  0.2500  0.3544
Ga  0.9632  0.7500  0.6456
Hg  0.3828  0.7500  0.1703
Hg  0.6172  0.2500  0.8297

The 8 most intense peaks (2θ = 10–80°), by angle:
hkl, Position (°2θ), I (rel.)
0 1 1, 27.00, 30
1 1 0, 31.08, 21
1 1 -1, 31.74, 100
1 0 1, 32.51, 42
0 1 2, 40.29, 44
0 2 0, 42.71, 24
2 1 0, 51.34, 21
1 2 1, 54.68, 19